1.
K2LaSbS4: computed PXRD pattern (a wavelength of 1.5418 Å), based on a cell relaxed with PBE.

abc: 8.556 8.556 8.556
angles: 120.85 119.08 90.07
Element x y z (fractional)
K  0.000  0.000  0.000
K  0.500  0.000  0.000
K  0.500  0.000  0.500
K  0.500  0.500  0.500
La  0.000  0.500  0.500
La  0.500  0.500  0.000
Sb  0.000  0.000  0.500
Sb  0.000  0.500  0.000
S  0.208  0.740  0.468
S  0.229  0.260  0.968
S  0.232  0.255  0.523
S  0.232  0.709  0.977
S  0.768  0.291  0.023
S  0.768  0.745  0.477
S  0.771  0.740  0.032
S  0.792  0.260  0.532

Top 6 peaks for 10° ≤ 2θ ≤ 80°, sorted by position:
| 2θ/deg | d_spacing | I_rel |
| --- | --- | --- |
| 12.6 | 7.049 | 23 |
| 12.8 | 6.924 | 26 |
| 25.3 | 3.524 | 20 |
| 25.7 | 3.462 | 19 |
| 29.5 | 3.025 | 100 |
| 42.3 | 2.139 | 46 |

***

2.
UGa2Ni: computed PXRD pattern (a wavelength of 1.5418 Å), based on a cell relaxed with PBE.

abc: 6.210 4.405 10.120
angles: 90.00 90.00 90.00
Element x y z (fractional)
U  0.235  0.250  0.151
U  0.265  0.750  0.651
U  0.735  0.250  0.349
U  0.765  0.750  0.849
Ga  0.066  0.750  0.343
Ga  0.240  0.250  0.449
Ga  0.260  0.750  0.949
Ga  0.434  0.250  0.843
Ga  0.566  0.750  0.157
Ga  0.740  0.250  0.051
Ga  0.760  0.750  0.551
Ga  0.934  0.250  0.657
Ni  0.046  0.250  0.891
Ni  0.454  0.750  0.391
Ni  0.546  0.250  0.609
Ni  0.954  0.750  0.109

Top 6 peaks for 10° ≤ 2θ ≤ 80°, sorted by position:
| 2θ/deg | d_spacing | I_rel |
| --- | --- | --- |
| 22.7 | 3.923 | 15 |
| 26.3 | 3.386 | 12 |
| 35.5 | 2.530 | 12 |
| 36.5 | 2.460 | 100 |
| 41.0 | 2.202 | 21 |
| 71.7 | 1.316 | 14 |

***

3.
La2Pm5NdDy: computed PXRD pattern (a wavelength of 1.5418 Å), based on a cell relaxed with PBE.

abc: 8.782 8.782 8.236
angles: 90.00 90.00 90.00
Element x y z (fractional)
La  0.119  0.381  0.000
La  0.381  0.881  0.000
La  0.619  0.119  0.000
La  0.881  0.619  0.000
Pm  0.000  0.000  0.000
Pm  0.217  0.717  0.282
Pm  0.217  0.717  0.718
Pm  0.283  0.217  0.282
Pm  0.283  0.217  0.718
Pm  0.500  0.500  0.000
Pm  0.717  0.783  0.282
Pm  0.717  0.783  0.718
Pm  0.783  0.283  0.282
Pm  0.783  0.283  0.718
Nd  0.000  0.000  0.500
Nd  0.500  0.500  0.500
Dy  0.000  0.500  0.500
Dy  0.500  0.000  0.500

Top 6 peaks for 10° ≤ 2θ ≤ 80°, sorted by position:
| 2θ/deg | d_spacing | I_rel |
| --- | --- | --- |
| 25.1 | 3.545 | 18 |
| 28.8 | 3.105 | 52 |
| 29.7 | 3.004 | 100 |
| 31.5 | 2.842 | 29 |
| 51.6 | 1.772 | 27 |
| 53.4 | 1.716 | 14 |

***

4.
Ti5AlGa5: computed PXRD pattern (a wavelength of 1.5418 Å), based on a cell relaxed with PBE.

abc: 8.127 8.127 5.461
angles: 107.32 107.32 34.86
Element x y z (fractional)
Ti  0.000  0.000  0.000
Ti  0.317  0.317  0.779
Ti  0.325  0.325  0.284
Ti  0.675  0.675  0.716
Ti  0.683  0.683  0.221
Al  0.000  0.000  0.500
Ga  0.158  0.158  0.412
Ga  0.159  0.159  0.924
Ga  0.500  0.500  0.500
Ga  0.841  0.841  0.076
Ga  0.842  0.842  0.588

Top 6 peaks for 10° ≤ 2θ ≤ 80°, sorted by position:
| 2θ/deg | d_spacing | I_rel |
| --- | --- | --- |
| 36.6 | 2.456 | 91 |
| 36.9 | 2.434 | 100 |
| 38.5 | 2.336 | 51 |
| 41.6 | 2.173 | 67 |
| 42.8 | 2.111 | 70 |
| 53.0 | 1.729 | 60 |

***

5.
Li2Tb2Zn15: computed PXRD pattern (a wavelength of 1.5418 Å), based on a cell relaxed with PBE.

abc: 6.794 6.794 6.794
angles: 83.28 83.28 83.28
Element x y z (fractional)
Li  0.098  0.098  0.098
Li  0.902  0.902  0.902
Tb  0.340  0.340  0.340
Tb  0.660  0.660  0.660
Zn  0.000  0.000  0.500
Zn  0.000  0.297  0.703
Zn  0.000  0.500  0.000
Zn  0.000  0.703  0.297
Zn  0.160  0.649  0.649
Zn  0.297  0.000  0.703
Zn  0.297  0.703  0.000
Zn  0.351  0.351  0.840
Zn  0.351  0.840  0.351
Zn  0.500  0.000  0.000
Zn  0.649  0.160  0.649
Zn  0.649  0.649  0.160
Zn  0.703  0.000  0.297
Zn  0.703  0.297  0.000
Zn  0.840  0.351  0.351

Top 6 peaks for 10° ≤ 2θ ≤ 80°, sorted by position:
| 2θ/deg | d_spacing | I_rel |
| --- | --- | --- |
| 28.5 | 3.135 | 33 |
| 34.4 | 2.606 | 22 |
| 39.9 | 2.257 | 40 |
| 40.3 | 2.237 | 100 |
| 41.4 | 2.179 | 34 |
| 45.2 | 2.004 | 22 |

***

6.
CeEr2Sc: computed PXRD pattern (a wavelength of 1.5418 Å), based on a cell relaxed with PBE.

abc: 11.383 11.383 11.383
angles: 17.41 17.41 17.41
Element x y z (fractional)
Ce  0.000  0.000  0.000
Er  0.248  0.248  0.248
Er  0.420  0.420  0.420
Sc  0.835  0.835  0.835

Top 6 peaks for 10° ≤ 2θ ≤ 80°, sorted by position:
| 2θ/deg | d_spacing | I_rel |
| --- | --- | --- |
| 31.8 | 2.812 | 35 |
| 31.9 | 2.802 | 50 |
| 32.8 | 2.727 | 100 |
| 35.4 | 2.534 | 70 |
| 53.2 | 1.722 | 36 |
| 63.4 | 1.468 | 46 |

***

7.
TbNd2Zn2: computed PXRD pattern (a wavelength of 1.5418 Å), based on a cell relaxed with PBE.

abc: 3.693 5.214 13.774
angles: 90.00 97.73 90.00
Element x y z (fractional)
Tb  0.143  0.250  0.284
Tb  0.857  0.750  0.716
Nd  0.046  0.750  0.091
Nd  0.231  0.750  0.463
Nd  0.769  0.250  0.537
Nd  0.954  0.250  0.909
Zn  0.361  0.250  0.724
Zn  0.447  0.750  0.895
Zn  0.553  0.250  0.105
Zn  0.639  0.750  0.276

Top 6 peaks for 10° ≤ 2θ ≤ 80°, sorted by position:
| 2θ/deg | d_spacing | I_rel |
| --- | --- | --- |
| 26.0 | 3.427 | 19 |
| 32.8 | 2.730 | 19 |
| 34.0 | 2.638 | 100 |
| 34.4 | 2.607 | 27 |
| 48.3 | 1.885 | 13 |
| 61.4 | 1.511 | 18 |

***

8.
Y5Co4Ge10: computed PXRD pattern (a wavelength of 1.5418 Å), based on a cell relaxed with PBE.

abc: 12.776 12.776 4.205
angles: 90.00 90.00 90.00
Element x y z (fractional)
Y  0.000  0.000  0.000
Y  0.110  0.390  0.500
Y  0.178  0.678  0.500
Y  0.322  0.178  0.500
Y  0.390  0.890  0.500
Y  0.500  0.500  0.000
Y  0.610  0.110  0.500
Y  0.678  0.822  0.500
Y  0.822  0.322  0.500
Y  0.890  0.610  0.500
Co  0.026  0.756  0.000
Co  0.244  0.026  0.000
Co  0.256  0.526  0.000
Co  0.474  0.256  0.000
Co  0.526  0.744  0.000
Co  0.744  0.474  0.000
Co  0.756  0.974  0.000
Co  0.974  0.244  0.000
Ge  0.003  0.833  0.500
Ge  0.070  0.570  0.000
Ge  0.154  0.199  0.000
Ge  0.167  0.003  0.500
Ge  0.199  0.846  0.000
Ge  0.301  0.346  0.000
Ge  0.333  0.503  0.500
Ge  0.346  0.699  0.000
Ge  0.430  0.070  0.000
Ge  0.497  0.333  0.500
Ge  0.503  0.667  0.500
Ge  0.570  0.930  0.000
Ge  0.654  0.301  0.000
Ge  0.667  0.497  0.500
Ge  0.699  0.654  0.000
Ge  0.801  0.154  0.000
Ge  0.833  0.997  0.500
Ge  0.846  0.801  0.000
Ge  0.930  0.430  0.000
Ge  0.997  0.167  0.500

Top 6 peaks for 10° ≤ 2θ ≤ 80°, sorted by position:
| 2θ/deg | d_spacing | I_rel |
| --- | --- | --- |
| 33.1 | 2.710 | 53 |
| 35.8 | 2.506 | 42 |
| 36.0 | 2.495 | 30 |
| 36.7 | 2.448 | 100 |
| 38.1 | 2.363 | 28 |
| 43.0 | 2.102 | 74 |

***

9.
LaFe5H7: computed PXRD pattern (a wavelength of 1.5418 Å), based on a cell relaxed with PBE.

abc: 5.505 5.505 8.220
angles: 90.00 90.00 116.50
Element x y z (fractional)
La  0.000  0.000  0.000
La  0.000  0.000  0.500
Fe  0.000  0.500  0.267
Fe  0.000  0.500  0.733
Fe  0.338  0.645  0.000
Fe  0.355  0.662  0.500
Fe  0.500  0.000  0.233
Fe  0.500  0.000  0.767
Fe  0.500  0.500  0.250
Fe  0.500  0.500  0.750
Fe  0.645  0.338  0.500
Fe  0.662  0.355  0.000
H  0.000  0.500  0.500
H  0.156  0.844  0.250
H  0.156  0.844  0.750
H  0.200  0.409  0.152
H  0.200  0.409  0.848
H  0.409  0.200  0.348
H  0.409  0.200  0.652
H  0.500  0.000  0.000
H  0.591  0.800  0.348
H  0.591  0.800  0.652
H  0.800  0.591  0.152
H  0.800  0.591  0.848
H  0.844  0.156  0.250
H  0.844  0.156  0.750

Top 6 peaks for 10° ≤ 2θ ≤ 80°, sorted by position:
| 2θ/deg | d_spacing | I_rel |
| --- | --- | --- |
| 28.3 | 3.156 | 41 |
| 32.6 | 2.747 | 31 |
| 36.5 | 2.463 | 47 |
| 38.0 | 2.368 | 54 |
| 39.5 | 2.284 | 100 |
| 44.1 | 2.055 | 33 |

***

10.
Ho11Ag4Hg9: computed PXRD pattern (a wavelength of 1.5418 Å), based on a cell relaxed with PBE.

abc: 13.111 13.111 3.730
angles: 90.00 90.00 112.33
Element x y z (fractional)
Ho  0.000  0.000  0.000
Ho  0.072  0.414  0.000
Ho  0.169  0.831  0.000
Ho  0.268  0.268  0.000
Ho  0.356  0.644  0.000
Ho  0.414  0.072  0.000
Ho  0.586  0.928  0.000
Ho  0.644  0.356  0.000
Ho  0.732  0.732  0.000
Ho  0.831  0.169  0.000
Ho  0.928  0.586  0.000
Ag  0.260  0.448  0.500
Ag  0.448  0.260  0.500
Ag  0.552  0.740  0.500
Ag  0.740  0.552  0.500
Hg  0.051  0.210  0.500
Hg  0.148  0.628  0.500
Hg  0.210  0.051  0.500
Hg  0.372  0.852  0.500
Hg  0.500  0.500  0.500
Hg  0.628  0.148  0.500
Hg  0.790  0.949  0.500
Hg  0.852  0.372  0.500
Hg  0.949  0.790  0.500

Top 6 peaks for 10° ≤ 2θ ≤ 80°, sorted by position:
| 2θ/deg | d_spacing | I_rel |
| --- | --- | --- |
| 34.4 | 2.605 | 100 |
| 34.9 | 2.574 | 55 |
| 48.8 | 1.865 | 13 |
| 61.4 | 1.510 | 21 |
| 62.1 | 1.494 | 12 |
| 62.3 | 1.490 | 13 |

***

11.
BaTa2Ag2O7: computed PXRD pattern (a wavelength of 1.5418 Å), based on a cell relaxed with PBE.

abc: 11.184 11.184 11.184
angles: 159.22 159.22 29.55
Element x y z (fractional)
Ba  0.000  0.000  0.000
Ta  0.400  0.400  0.000
Ta  0.600  0.600  0.000
Ag  0.250  0.750  0.500
Ag  0.750  0.250  0.500
O  0.092  0.592  0.500
O  0.312  0.312  0.000
O  0.408  0.908  0.500
O  0.500  0.500  0.000
O  0.592  0.092  0.500
O  0.688  0.688  0.000
O  0.908  0.408  0.500

Top 6 peaks for 10° ≤ 2θ ≤ 80°, sorted by position:
| 2θ/deg | d_spacing | I_rel |
| --- | --- | --- |
| 25.3 | 3.520 | 53 |
| 30.3 | 2.950 | 100 |
| 32.5 | 2.758 | 82 |
| 44.9 | 2.017 | 59 |
| 53.1 | 1.723 | 52 |
| 55.2 | 1.665 | 39 |